Structure and computed PXRD pattern of KNdMoO5 (a crystal structure in Alexandria, relaxed with GGA+U; Cu Kα X-rays).
No peak broadening, texture or thermal motion is included.

Crystal structure
```
data_KNdMoO5
_symmetry_space_group_name_H-M 'C 1 2/c 1'
_symmetry_Int_Tables_number 15
_symmetry_space_group_name_Hall '-C 2yc'
_cell_length_a 7.930
_cell_length_b 10.373
_cell_length_c 8.375
_cell_angle_alpha 90.00
_cell_angle_beta 113.99
_cell_angle_gamma 90.00
loop_
_atom_site_label
_atom_site_fract_x
_atom_site_fract_y
_atom_site_fract_z
K1 0.000 0.180 0.250
Nd1 0.000 0.500 0.000
Mo1 0.000 0.179 0.750
O1 0.000 0.423 0.250
O2 0.092 0.280 0.629
O3 0.176 0.076 0.899
```

The 10 most intense peaks (10 to 80 degrees two-theta), by angle:
2θ = 14.92°, intensity 48
2θ = 15.54°, intensity 25
2θ = 23.08°, intensity 100
2θ = 24.58°, intensity 81
2θ = 28.61°, intensity 88
2θ = 29.00°, intensity 64
2θ = 31.38°, intensity 30
2θ = 36.05°, intensity 27
2θ = 44.42°, intensity 25
2θ = 45.83°, intensity 28